[1]
# CaPu2N3
Theoretical X-ray diffraction stick pattern, CuKα. Input: a DFT-relaxed cell (GGA-PBE, Alexandria).
No peak broadening, texture or thermal motion is included.

Cell and atoms:
```
data_CaPu2N3
_chemical_formula_sum 'Ca4 Pu8 N12'
_cell_length_a 3.5881
_cell_length_b 17.4124
_cell_length_c 8.1030
_cell_angle_alpha 90.00
_cell_angle_beta 90.00
_cell_angle_gamma 90.00
_space_group_name_H-M_alt 'C m c m'
_space_group_IT_number 63
_space_group_name_Hall '-C 2c 2'
loop_
_atom_site_label
_atom_site_type_symbol
_atom_site_fract_x
_atom_site_fract_y
_atom_site_fract_z
Ca1 Ca 0.0000 0.1533 0.2500
Pu1 Pu 0.0000 0.1295 0.7500
Pu2 Pu 0.0000 0.5000 0.0000
N1 N 0.0000 0.0819 0.0093
N2 N 0.0000 0.4478 0.2500
```

Largest 10 diffraction maxima, most intense first, 2θ from 15° to 90°:
- 30.13°, I 100
- 29.26°, I 99
- 33.76°, I 94
- 49.97°, I 53
- 24.23°, I 52
- 35.94°, I 42
- 54.36°, I 36
- 60.29°, I 30
- 44.75°, I 28
- 58.67°, I 21

=====

[2]
# Li2Tb3Tl3
Theoretical X-ray diffraction stick pattern, CuKα. Input: a DFT-relaxed cell (GGA-PBE, Alexandria).
No peak broadening, texture or thermal motion is included.

Cell and atoms:
```
data_Li2Tb3Tl3
_chemical_formula_sum 'Li4 Tb6 Tl6'
_cell_length_a 4.5948
_cell_length_b 4.9009
_cell_length_c 17.0502
_cell_angle_alpha 90.00
_cell_angle_beta 90.00
_cell_angle_gamma 90.00
_space_group_name_H-M_alt 'I m m m'
_space_group_IT_number 71
_space_group_name_Hall '-I 2 2'
loop_
_atom_site_label
_atom_site_type_symbol
_atom_site_fract_x
_atom_site_fract_y
_atom_site_fract_z
Li1 Li 0.0000 0.0000 0.2430
Tb1 Tb 0.0000 0.0000 0.0000
Tb2 Tb 0.0000 0.5000 0.1393
Tl1 Tl 0.0000 0.0000 0.5000
Tl2 Tl 0.0000 0.5000 0.3485
```

Largest 10 diffraction maxima, most intense first, 2θ from 15° to 90°:
- 34.03°, I 100
- 28.62°, I 47
- 36.67°, I 25
- 31.48°, I 23
- 39.21°, I 21
- 60.97°, I 20
- 64.35°, I 16
- 54.77°, I 16
- 67.77°, I 14
- 49.09°, I 14

=====

[3]
# Rb2Sn3Sb3
Theoretical X-ray diffraction stick pattern, CuKα. Input: a DFT-relaxed cell (GGA-PBE, Alexandria).
No peak broadening, texture or thermal motion is included.

Cell and atoms:
```
data_Rb2Sn3Sb3
_chemical_formula_sum 'Rb8 Sn12 Sb12'
_cell_length_a 4.2220
_cell_length_b 16.7855
_cell_length_c 17.4846
_cell_angle_alpha 90.00
_cell_angle_beta 90.00
_cell_angle_gamma 90.00
_space_group_name_H-M_alt 'C m c m'
_space_group_IT_number 63
_space_group_name_Hall '-C 2c 2'
loop_
_atom_site_label
_atom_site_type_symbol
_atom_site_fract_x
_atom_site_fract_y
_atom_site_fract_z
Rb1 Rb 0.0000 0.1671 0.1081
Sn1 Sn 0.0000 0.3634 0.2500
Sn2 Sn 0.0000 0.4703 0.0851
Sb1 Sb 0.0000 0.1465 0.6061
Sb2 Sb 0.0000 0.4598 0.7500
```

Largest 10 diffraction maxima, most intense first, 2θ from 15° to 90°:
- 26.45°, I 100
- 33.58°, I 73
- 37.55°, I 64
- 30.68°, I 56
- 40.94°, I 35
- 42.84°, I 33
- 29.90°, I 32
- 26.17°, I 31
- 46.24°, I 30
- 31.99°, I 23

=====

[4]
# NdSm4Y4
Theoretical X-ray diffraction stick pattern, CuKα. Input: a DFT-relaxed cell (GGA-PBE, Alexandria).
No peak broadening, texture or thermal motion is included.

Cell and atoms:
```
data_NdSm4Y4
_chemical_formula_sum 'Nd2 Sm8 Y8'
_cell_length_a 5.1113
_cell_length_b 10.8175
_cell_length_c 11.4024
_cell_angle_alpha 71.50
_cell_angle_beta 89.96
_cell_angle_gamma 89.88
_space_group_name_H-M_alt 'P -1'
_space_group_IT_number 2
loop_
_space_group_symop_operation_xyz
'x,y,z'
'-x,-y,-z'
loop_
_atom_site_label
_atom_site_type_symbol
_atom_site_fract_x
_atom_site_fract_y
_atom_site_fract_z
Nd1 Nd 0.2501 0.2222 0.0830
Sm1 Sm 0.2503 0.0007 0.7492
Sm2 Sm 0.2498 0.1106 0.4174
Sm3 Sm 0.2498 0.3345 0.7484
Sm4 Sm 0.2499 0.5555 0.0842
Y1 Y 0.2502 0.4440 0.4175
Y2 Y 0.2500 0.6664 0.7490
Y3 Y 0.2501 0.7771 0.4167
Y4 Y 0.2499 0.8886 0.0846
```

Largest 10 diffraction maxima, most intense first, 2θ from 15° to 90°:
- 30.34°, I 100
- 35.15°, I 34
- 50.63°, I 24
- 60.20°, I 21
- 60.10°, I 18
- 35.23°, I 17
- 50.53°, I 12
- 82.38°, I 7
- 85.11°, I 7
- 63.13°, I 6